For Dy2Tm4C, a cell relaxed with GGA-PBE gives the calculated powder XRD pattern in this record (Cu Kα (λ = 1.5418 Å)).
Neutral-atom scattering factors, no anomalous dispersion.

Peak list (8 most intense, 10° ≤ 2θ ≤ 90°, low angle first)
28.37 deg, d 3.146, rel. 81, (1 1 2); 30.25 deg, d 2.954, rel. 32, (0 0 6); 31.47 deg, d 2.843, rel. 31, (1 0 5); 33.44 deg, d 2.680, rel. 100, (1 1 4); 37.81 deg, d 2.379, rel. 64, (2 0 0); 49.18 deg, d 1.853, rel. 38, (2 0 6); 54.54 deg, d 1.683, rel. 22, (2 2 0); 65.50 deg, d 1.425, rel. 29, (3 1 4)

Cell and atoms:
```
data_Dy2Tm4C
_chemical_formula_sum 'Dy4 Tm8 C2'
_cell_length_a 4.759
_cell_length_b 4.759
_cell_length_c 17.725
_cell_angle_alpha 90.00
_cell_angle_beta 90.00
_cell_angle_gamma 90.00
_symmetry_space_group_name_H-M 'I 4/m m m'
_symmetry_Int_Tables_number 139
_symmetry_space_group_name_Hall '-I 4 2'
loop_
_atom_site_label
_atom_site_fract_x
_atom_site_fract_y
_atom_site_fract_z
Dy1 0.000 0.000 0.175
Tm1 0.000 0.000 0.367
Tm2 0.000 0.500 0.000
C1 0.000 0.000 0.500
```

For Dy3TmC8, a cell relaxed with GGA-PBE gives the calculated powder XRD pattern in this record (Cu Kα (λ = 1.5418 Å)).
Neutral-atom scattering factors, no anomalous dispersion.

Peak list (8 most intense, 10° ≤ 2θ ≤ 90°, low angle first)
26.50 deg, d 3.364, rel. 100, (0 2 1); 28.09 deg, d 3.177, rel. 37, (2 0 0); 29.62 deg, d 3.015, rel. 38, (2 0 -2); 30.31 deg, d 2.949, rel. 79, (2 2 -1); 35.43 deg, d 2.534, rel. 31, (0 0 2); 40.10 deg, d 2.249, rel. 23, (0 4 0); 48.30 deg, d 1.884, rel. 23, (2 2 -3); 51.01 deg, d 1.791, rel. 20, (4 2 -2)

Cell and atoms:
```
data_Dy3TmC8
_chemical_formula_sum 'Dy6 Tm2 C16'
_cell_length_a 7.821
_cell_length_b 8.995
_cell_length_c 6.238
_cell_angle_alpha 90.00
_cell_angle_beta 125.67
_cell_angle_gamma 90.00
_symmetry_space_group_name_H-M 'C 1 m 1'
_symmetry_Int_Tables_number 8
_symmetry_space_group_name_Hall 'C -2y'
loop_
_atom_site_label
_atom_site_fract_x
_atom_site_fract_y
_atom_site_fract_z
Dy1 0.000 0.000 0.000
Dy2 0.107 0.228 0.563
Tm1 0.050 0.500 0.083
C1 0.088 0.500 0.701
C2 0.284 0.160 0.068
C3 0.393 0.500 0.523
C4 0.394 0.000 0.624
C5 0.402 0.254 0.056
C6 0.422 0.500 0.332
```

For DyYC4, a cell relaxed with GGA-PBE gives the calculated powder XRD pattern in this record (Cu Kα (λ = 1.5418 Å)).
Neutral-atom scattering factors, no anomalous dispersion.

Peak list (8 most intense, 10° ≤ 2θ ≤ 90°, low angle first)
28.18 deg, d 3.167, rel. 100, (1 1 1); 28.79 deg, d 3.101, rel. 35, (0 2 0); 34.36 deg, d 2.610, rel. 28, (0 0 2); 34.50 deg, d 2.599, rel. 28, (2 0 0); 45.42 deg, d 1.997, rel. 20, (0 2 2); 45.53 deg, d 1.992, rel. 20, (2 2 0); 49.49 deg, d 1.842, rel. 19, (2 0 2); 50.63 deg, d 1.803, rel. 30, (1 3 1)

Cell and atoms:
```
data_DyYC4
_chemical_formula_sum 'Dy2 Y2 C8'
_cell_length_a 5.199
_cell_length_b 6.202
_cell_length_c 5.220
_cell_angle_alpha 90.00
_cell_angle_beta 90.00
_cell_angle_gamma 90.00
_symmetry_space_group_name_H-M 'C m m m'
_symmetry_Int_Tables_number 65
_symmetry_space_group_name_Hall '-C 2 2'
loop_
_atom_site_label
_atom_site_fract_x
_atom_site_fract_y
_atom_site_fract_z
Dy1 0.000 0.000 0.000
Y1 0.000 0.500 0.500
C1 0.000 0.105 0.500
C2 0.000 0.395 0.000
```

For Dy3Zn2C, a cell relaxed with GGA-PBE gives the calculated powder XRD pattern in this record (Cu Kα (λ = 1.5418 Å)).
Neutral-atom scattering factors, no anomalous dispersion.

Peak list (8 most intense, 10° ≤ 2θ ≤ 90°, low angle first)
27.49 deg, d 3.244, rel. 18, (0 0 2); 29.91 deg, d 2.987, rel. 27, (2 0 0); 31.37 deg, d 2.851, rel. 13, (1 0 2); 33.01 deg, d 2.713, rel. 100, (2 0 1); 38.08 deg, d 2.363, rel. 20, (1 1 2); 53.11 deg, d 1.725, rel. 22, (2 2 0); 59.15 deg, d 1.562, rel. 16, (2 1 3); 63.97 deg, d 1.455, rel. 13, (4 0 1)

Cell and atoms:
```
data_Dy3Zn2C
_chemical_formula_sum 'Dy6 Zn4 C2'
_cell_length_a 6.8983
_cell_length_b 6.8983
_cell_length_c 6.4889
_cell_angle_alpha 90.00
_cell_angle_beta 90.00
_cell_angle_gamma 120.00
_symmetry_space_group_name_H-M 'P 63/m m c'
_symmetry_Int_Tables_number 194
_symmetry_space_group_name_Hall '-P 6c 2c'
loop_
_atom_site_label
_atom_site_fract_x
_atom_site_fract_y
_atom_site_fract_z
Dy1 0.1552 0.3104 0.2500
Zn1 0.3333 0.6667 0.5710
C1 0.0000 0.0000 0.0000
```

For Er4C3, a cell relaxed with GGA-PBE gives the calculated powder XRD pattern in this record (Cu Kα (λ = 1.5418 Å)).
Neutral-atom scattering factors, no anomalous dispersion.

Peak list (8 most intense, 10° ≤ 2θ ≤ 90°, low angle first)
28.07 deg, d 3.179, rel. 35, (2 1 1); 32.52 deg, d 2.753, rel. 100, (2 2 0); 36.48 deg, d 2.463, rel. 69, (3 1 0); 43.48 deg, d 2.081, rel. 29, (3 2 1); 55.33 deg, d 1.660, rel. 22, (3 3 2); 58.02 deg, d 1.590, rel. 13, (4 2 2); 60.63 deg, d 1.527, rel. 43, (4 3 1); 65.67 deg, d 1.422, rel. 27, (5 2 1)

Cell and atoms:
```
data_Er4C3
_chemical_formula_sum 'Er16 C12'
_cell_length_a 7.788
_cell_length_b 7.788
_cell_length_c 7.788
_cell_angle_alpha 90.00
_cell_angle_beta 90.00
_cell_angle_gamma 90.00
_symmetry_space_group_name_H-M 'I -4 3 d'
_symmetry_Int_Tables_number 220
_symmetry_space_group_name_Hall 'I -4bd 2c 3'
loop_
_atom_site_label
_atom_site_fract_x
_atom_site_fract_y
_atom_site_fract_z
Er1 0.045 0.045 0.045
C1 0.000 0.250 0.375
```

For Er4C7, a cell relaxed with GGA-PBE gives the calculated powder XRD pattern in this record (Cu Kα (λ = 1.5418 Å)).
Neutral-atom scattering factors, no anomalous dispersion.

Peak list (8 most intense, 10° ≤ 2θ ≤ 90°, low angle first)
28.37 deg, d 3.146, rel. 27, (1 2 0); 28.74 deg, d 3.107, rel. 34, (1 2 -1); 28.91 deg, d 3.088, rel. 31, (0 0 2); 29.88 deg, d 2.990, rel. 100, (0 4 1); 32.33 deg, d 2.769, rel. 37, (1 3 -1); 32.89 deg, d 2.723, rel. 24, (1 1 1); 33.84 deg, d 2.649, rel. 39, (1 1 -2); 34.86 deg, d 2.574, rel. 46, (1 2 1)

Cell and atoms:
```
data_Er4C7
_chemical_formula_sum 'Er8 C14'
_cell_length_a 3.668
_cell_length_b 13.667
_cell_length_c 6.395
_cell_angle_alpha 90.00
_cell_angle_beta 105.00
_cell_angle_gamma 90.00
_symmetry_space_group_name_H-M 'P 1 21/c 1'
_symmetry_Int_Tables_number 14
_symmetry_space_group_name_Hall '-P 2ybc'
loop_
_atom_site_label
_atom_site_fract_x
_atom_site_fract_y
_atom_site_fract_z
Er1 0.057 0.161 0.161
Er2 0.366 0.055 0.739
C1 0.000 0.000 0.000
C2 0.268 0.604 0.050
C3 0.377 0.697 0.045
C4 0.467 0.215 0.924
```

For Er8C5, a cell relaxed with GGA-PBE gives the calculated powder XRD pattern in this record (Cu Kα (λ = 1.5418 Å)).
Neutral-atom scattering factors, no anomalous dispersion.

Peak list (8 most intense, 10° ≤ 2θ ≤ 90°, low angle first)
29.15 deg, d 3.063, rel. 25, (0 2 1); 29.82 deg, d 2.996, rel. 51, (4 0 -2); 32.51 deg, d 2.754, rel. 30, (2 0 1); 32.72 deg, d 2.737, rel. 80, (2 2 0); 32.95 deg, d 2.718, rel. 100, (2 0 -3); 42.38 deg, d 2.133, rel. 30, (4 2 -3); 51.54 deg, d 1.773, rel. 28, (0 2 3); 54.65 deg, d 1.679, rel. 23, (6 2 -2)

Cell and atoms:
```
data_Er8C5
_chemical_formula_sum 'Er16 C10'
_cell_length_a 11.986
_cell_length_b 7.065
_cell_length_c 8.517
_cell_angle_alpha 90.00
_cell_angle_beta 133.77
_cell_angle_gamma 90.00
_symmetry_space_group_name_H-M 'C 1 2/m 1'
_symmetry_Int_Tables_number 12
_symmetry_space_group_name_Hall '-C 2y'
loop_
_atom_site_label
_atom_site_fract_x
_atom_site_fract_y
_atom_site_fract_z
Er1 0.019 0.000 0.318
Er2 0.028 0.500 0.335
Er3 0.219 0.237 0.166
C1 0.000 0.000 0.000
C2 0.000 0.257 0.500
C3 0.231 0.500 0.997
```